Entry 1:
For PmSe, a DFT-relaxed cell (PBE, Alexandria) gives the simulated powder XRD pattern in this record (Cu Kα).
Kinematic intensities with the Lorentz-polarization factor, no thermal factor.

Peak list (10 most intense, 2θ = 5–70°, sorted by position)
- 20.45°, intensity 100.0
- 25.51°, intensity 29.9
- 30.44°, intensity 49.3
- 35.82°, intensity 95.5
- 36.96°, intensity 43.8
- 41.60°, intensity 15.7
- 47.70°, intensity 84.5
- 52.42°, intensity 16.0
- 64.37°, intensity 17.1
- 65.12°, intensity 16.5

Structural model:
```
PmSe
1.0
5.014 0.000 0.000
-2.507 4.342 0.000
0.000 0.000 5.872
Pm Se
2 2
Direct
0.333 0.667 0.250 Pm
0.667 0.333 0.750 Pm
0.333 0.667 0.750 Se
0.667 0.333 0.250 Se
```

=====

Entry 2:
For Er2PaNbN6, a DFT-relaxed cell (PBE, Alexandria) gives the simulated powder XRD pattern in this record (Cu Kα).
Kinematic intensities with the Lorentz-polarization factor, no thermal factor.

Peak list (10 most intense, 2θ = 5–70°, sorted by position)
- 18.83°, intensity 12.9
- 30.19°, intensity 100.0
- 31.14°, intensity 95.6
- 43.92°, intensity 41.1
- 48.80°, intensity 18.8
- 53.02°, intensity 16.3
- 54.82°, intensity 40.6
- 55.41°, intensity 24.2
- 62.78°, intensity 9.1
- 64.93°, intensity 12.8

Structural model:
```
Er2PaNbN6
1.0
2.872 1.658 4.911
-2.872 1.658 4.911
0.000 -3.317 4.911
Er Pa Nb N
2 1 1 6
Direct
0.000 0.000 0.000 Er
0.498 0.498 0.498 Er
0.224 0.224 0.224 Pa
0.725 0.725 0.725 Nb
0.065 0.441 0.848 N
0.353 0.914 0.588 N
0.441 0.848 0.065 N
0.588 0.353 0.914 N
0.848 0.065 0.441 N
0.914 0.588 0.353 N
```

=====

Entry 3:
For PuCdAs2Pd5, a DFT-relaxed cell (PBE, Alexandria) gives the simulated powder XRD pattern in this record (Cu Kα).
Kinematic intensities with the Lorentz-polarization factor, no thermal factor.

Peak list (10 most intense, 2θ = 5–70°, sorted by position)
- 11.35°, intensity 18.5
- 29.90°, intensity 22.9
- 35.70°, intensity 100.0
- 38.68°, intensity 66.0
- 44.42°, intensity 20.4
- 46.61°, intensity 10.5
- 49.64°, intensity 11.4
- 55.85°, intensity 22.4
- 62.12°, intensity 17.6
- 68.07°, intensity 29.8

Structural model:
```
PuCdAs2Pd5
1.0
4.656 0.000 0.000
0.000 4.656 0.000
0.000 0.000 7.794
Pu Cd As Pd
1 1 2 5
Direct
0.000 0.000 0.000 Pu
0.000 0.000 0.500 Cd
0.500 0.500 0.338 As
0.500 0.500 0.662 As
0.000 0.500 0.236 Pd
0.000 0.500 0.764 Pd
0.500 0.000 0.236 Pd
0.500 0.000 0.764 Pd
0.500 0.500 0.000 Pd
```

=====

Entry 4:
For MgPd2Rh2, a DFT-relaxed cell (PBE, Alexandria) gives the simulated powder XRD pattern in this record (Cu Kα).
Kinematic intensities with the Lorentz-polarization factor, no thermal factor.

Peak list (10 most intense, 2θ = 5–70°, sorted by position)
- 16.74°, intensity 44.3
- 23.76°, intensity 11.6
- 37.99°, intensity 33.3
- 39.20°, intensity 18.5
- 41.08°, intensity 100.0
- 43.57°, intensity 18.2
- 48.63°, intensity 9.5
- 50.23°, intensity 12.8
- 51.79°, intensity 10.4
- 60.03°, intensity 11.0

Structural model:
```
MgPd2Rh2
1.0
7.490 0.000 0.000
0.000 7.490 0.000
0.000 0.000 2.911
Mg Pd Rh
2 4 4
Direct
0.000 0.000 0.000 Mg
0.500 0.500 0.000 Mg
0.178 0.322 0.500 Pd
0.322 0.822 0.500 Pd
0.678 0.178 0.500 Pd
0.822 0.678 0.500 Pd
0.121 0.621 0.000 Rh
0.379 0.121 0.000 Rh
0.621 0.879 0.000 Rh
0.879 0.379 0.000 Rh
```